1.
# CsNa2Pb8
Theoretical powder X-ray diffraction pattern, a wavelength of 1.5418 Å. Input: DFT lattice parameters and positions (GGA-PBE).

Principal peaks in the range 15 to 90 degrees two-theta, most intense first:
2θ = 30.8°, rel. 100; 2θ = 37.4°, rel. 37; 2θ = 63.4°, rel. 27; 2θ = 34.0°, rel. 18; 2θ = 50.2°, rel. 15; 2θ = 54.0°, rel. 13; 2θ = 37.8°, rel. 13; 2θ = 32.2°, rel. 13

Atomic structure:
abc: 4.807 4.807 16.679
angles: 90.00 90.00 90.00
Element x y z (fractional)
Cs  0.000  0.000  0.000
Na  0.000  0.000  0.348
Na  0.000  0.000  0.652
Pb  0.000  0.500  0.198
Pb  0.000  0.500  0.500
Pb  0.000  0.500  0.802
Pb  0.500  0.000  0.198
Pb  0.500  0.000  0.500
Pb  0.500  0.000  0.802
Pb  0.500  0.500  0.341
Pb  0.500  0.500  0.659



2.
# Cs3Na2Pb
Theoretical powder X-ray diffraction pattern, a wavelength of 1.5418 Å. Input: DFT lattice parameters and positions (GGA-PBE).

Principal peaks in the range 15 to 90 degrees two-theta, most intense first:
2θ = 23.3°, rel. 100; 2θ = 21.9°, rel. 77; 2θ = 22.0°, rel. 68; 2θ = 28.9°, rel. 49; 2θ = 28.0°, rel. 42; 2θ = 29.0°, rel. 42; 2θ = 28.1°, rel. 41; 2θ = 26.8°, rel. 37

Atomic structure:
abc: 9.797 9.797 8.434
angles: 99.90 99.90 95.75
Element x y z (fractional)
Cs  0.085  0.915  0.750
Cs  0.202  0.430  0.936
Cs  0.430  0.202  0.436
Cs  0.570  0.798  0.564
Cs  0.798  0.570  0.064
Cs  0.915  0.085  0.250
Na  0.154  0.560  0.435
Na  0.440  0.846  0.065
Na  0.560  0.154  0.935
Na  0.846  0.440  0.565
Pb  0.196  0.804  0.250
Pb  0.804  0.196  0.750



3.
# CsNa12Pb6
Theoretical powder X-ray diffraction pattern, a wavelength of 1.5418 Å. Input: DFT lattice parameters and positions (GGA-PBE).

Principal peaks in the range 15 to 90 degrees two-theta, most intense first:
2θ = 20.7°, rel. 100; 2θ = 32.4°, rel. 70; 2θ = 32.7°, rel. 63; 2θ = 21.4°, rel. 54; 2θ = 17.4°, rel. 43; 2θ = 35.2°, rel. 41; 2θ = 35.6°, rel. 40; 2θ = 37.4°, rel. 38

Atomic structure:
abc: 9.012 9.012 9.012
angles: 103.99 103.99 103.99
Element x y z (fractional)
Cs  0.000  0.000  0.000
Na  0.108  0.392  0.392
Na  0.114  0.500  0.886
Na  0.114  0.886  0.500
Na  0.392  0.108  0.392
Na  0.392  0.392  0.108
Na  0.500  0.114  0.886
Na  0.500  0.886  0.114
Na  0.608  0.608  0.892
Na  0.608  0.892  0.608
Na  0.886  0.114  0.500
Na  0.886  0.500  0.114
Na  0.892  0.608  0.608
Pb  0.302  0.302  0.692
Pb  0.302  0.692  0.302
Pb  0.308  0.698  0.698
Pb  0.692  0.302  0.302
Pb  0.698  0.308  0.698
Pb  0.698  0.698  0.308